This entry pairs a crystal structure of Mg3Cd3Hg2 with its theoretical powder X-ray diffraction pattern. Radiation: copper Kα. Structure: a DFT-relaxed cell (PBE, Alexandria).
Neutral-atom scattering factors, no anomalous dispersion.

The 6 most intense peaks (2θ from 5° to 70°), by angle:
(hkl), two_theta, I (rel.)
2 0 0, 14.62, 23
3 1 -1, 27.47, 23
2 0 -2, 32.41, 38
0 2 0, 33.46, 35
5 1 -1, 37.80, 100
2 2 -2, 47.27, 27

Cell and atoms:
a = 13.3009 Å, b = 5.3565 Å, c = 5.5249 Å
α = 90.00°, β = 114.33°, γ = 90.00°
Sites, in units of the cell vectors:
Mg: 0.0000 0.0000 0.0000
Mg: 0.1317 0.0000 0.6295
Mg: 0.3683 0.5000 0.3705
Mg: 0.5000 0.5000 0.0000
Mg: 0.6317 0.5000 0.6295
Mg: 0.8683 0.0000 0.3705
Cd: 0.0000 0.5000 0.5000
Cd: 0.1231 0.5000 0.1262
Cd: 0.3769 0.0000 0.8738
Cd: 0.5000 0.0000 0.5000
Cd: 0.6231 0.0000 0.1262
Cd: 0.8769 0.5000 0.8738
Hg: 0.2438 0.0000 0.2410
Hg: 0.2562 0.5000 0.7590
Hg: 0.7438 0.5000 0.2410
Hg: 0.7562 0.0000 0.7590